Diffraction record for RbCr2NiAs. The XRD peak list is simulated, not measured: it uses the PBE geometry in Alexandria and CuKα.

Main lines, in order of rising 2θ (2θ = 10–90°):
2theta, I (rel.)
24.56, 32
31.90, 97
35.02, 100
40.71, 32
50.36, 34
54.76, 52
60.86, 28
66.67, 28

a b c (Å): 5.1250 5.1250 4.4324
angles (deg): 90.00 90.00 90.00
Atoms (fractional coordinates):
Rb: 0.0000 0.0000 0.0000
Cr: 0.0000 0.5000 0.5000
Cr: 0.5000 0.0000 0.5000
Ni: 0.5000 0.5000 0.5000
As: 0.5000 0.5000 0.0000



Diffraction record for CaPt3O4. The XRD peak list is simulated, not measured: it uses the PBE geometry in Alexandria and CuKα.

Main lines, in order of rising 2θ (2θ = 10–90°):
2theta, I (rel.)
21.40, 24
34.14, 100
37.52, 29
54.11, 22
56.51, 24
58.85, 15
73.98, 22
89.99, 21

a b c (Å): 5.8718 5.8718 5.8718
angles (deg): 90.00 90.00 90.00
Atoms (fractional coordinates):
Ca: 0.0000 0.0000 0.0000
Ca: 0.5000 0.5000 0.5000
Pt: 0.0000 0.2500 0.5000
Pt: 0.0000 0.7500 0.5000
Pt: 0.2500 0.5000 0.0000
Pt: 0.5000 0.0000 0.2500
Pt: 0.5000 0.0000 0.7500
Pt: 0.7500 0.5000 0.0000
O: 0.2500 0.2500 0.2500
O: 0.2500 0.2500 0.7500
O: 0.2500 0.7500 0.2500
O: 0.2500 0.7500 0.7500
O: 0.7500 0.2500 0.2500
O: 0.7500 0.2500 0.7500
O: 0.7500 0.7500 0.2500
O: 0.7500 0.7500 0.7500



Diffraction record for LiPdAu6. The XRD peak list is simulated, not measured: it uses the PBE geometry in Alexandria and CuKα.

Main lines, in order of rising 2θ (2θ = 10–90°):
2theta, I (rel.)
25.59, 16
35.80, 22
37.21, 41
40.52, 100
41.47, 45
65.70, 16
69.32, 21
78.00, 20

a b c (Å): 4.8330 5.6878 5.6878
angles (deg): 61.88 90.00 90.00
Atoms (fractional coordinates):
Li: 0.0000 0.0000 0.0000
Pd: 0.5000 0.3299 0.3299
Au: 0.0000 0.0034 0.4984
Au: 0.0000 0.4984 0.0034
Au: 0.0000 0.4995 0.4995
Au: 0.5000 0.3259 0.8323
Au: 0.5000 0.8306 0.8306
Au: 0.5000 0.8323 0.3259